This entry pairs a crystal structure of Ho8CoOs2 with its theoretical X-ray powder pattern. Radiation: λ = 1.5418 Å (Cu Kα). Structure: a structure optimized by DFT (GGA-PBE).
Intensities are scaled so that the largest is 100.

Peak list (12 most intense, 2θ = 10–80°, in order of rising 2θ)
d = 5.491 Å, 2θ 16.14, I 30
d = 3.322 Å, 2θ 26.84, I 27
d = 2.844 Å, 2θ 31.46, I 100
d = 2.784 Å, 2θ 32.15, I 26
d = 2.700 Å, 2θ 33.17, I 39
d = 2.689 Å, 2θ 33.32, I 49
d = 2.510 Å, 2θ 35.77, I 33
d = 2.493 Å, 2θ 36.03, I 26
d = 2.435 Å, 2θ 36.91, I 23
d = 2.291 Å, 2θ 39.33, I 36
d = 2.258 Å, 2θ 39.93, I 47
d = 2.214 Å, 2θ 40.75, I 23

Structure:
```
Ho8CoOs2
1.0
4.1772 -6.2030 0.0000
4.1772 6.2030 0.0000
-1.9651 0.0000 5.4907
Ho Co Os
8 1 2
direct
0.0000 0.0000 0.0000
0.0143 0.2754 0.5960
0.1478 0.5666 0.1886
0.2754 0.0143 0.5960
0.4297 0.6878 0.7991
0.5666 0.1478 0.1886
0.6878 0.4297 0.7991
0.7169 0.7169 0.3867
0.3623 0.3623 0.0434
0.0419 0.6638 0.7007
0.6638 0.0419 0.7007
```

***

This entry pairs a crystal structure of HoPaCo10 with its theoretical X-ray powder pattern. Radiation: λ = 1.5418 Å (Cu Kα). Structure: a structure optimized by DFT (GGA-PBE).
Intensities are scaled so that the largest is 100.

Peak list (12 most intense, 2θ = 10–80°, in order of rising 2θ)
d = 4.204 Å, 2θ 21.13, I 10
d = 4.001 Å, 2θ 22.22, I 12
d = 2.898 Å, 2θ 30.85, I 69
d = 2.428 Å, 2θ 37.03, I 36
d = 2.103 Å, 2θ 43.02, I 38
d = 2.075 Å, 2θ 43.61, I 100
d = 2.000 Å, 2θ 45.34, I 26
d = 1.544 Å, 2θ 59.92, I 18
d = 1.478 Å, 2θ 62.89, I 13
d = 1.449 Å, 2θ 64.28, I 22
d = 1.322 Å, 2θ 71.35, I 15
d = 1.215 Å, 2θ 78.80, I 9

Structure:
```
HoPaCo10
1.0
4.0005 0.0000 0.0000
0.0000 4.8485 0.0000
0.0000 0.0000 8.4209
Ho Pa Co
1 1 10
direct
0.0000 0.0000 0.0000
0.0000 0.5000 0.5000
0.0000 0.0000 0.3411
0.0000 0.0000 0.6589
0.0000 0.5000 0.1869
0.0000 0.5000 0.8131
0.5000 0.0000 0.5000
0.5000 0.2442 0.2460
0.5000 0.2442 0.7540
0.5000 0.5000 0.0000
0.5000 0.7558 0.2460
0.5000 0.7558 0.7540
```

***

- Number 2 is which compound?
  HoPaCo10